# BeCo5
Calculated powder XRD pattern, λ = 1.5418 Å (Cu Kα). Input: a cell relaxed with PBE.
Neutral-atom scattering factors, no anomalous dispersion.

```
data_BeCo5
_symmetry_space_group_name_H-M 'P 4/m m m'
_symmetry_Int_Tables_number 123
_symmetry_space_group_name_Hall '-P 4 2'
_cell_length_a 2.5235
_cell_length_b 2.5235
_cell_length_c 9.6063
_cell_angle_alpha 90.00
_cell_angle_beta 90.00
_cell_angle_gamma 90.00
loop_
_atom_site_label
_atom_site_type_symbol
_atom_site_fract_x
_atom_site_fract_y
_atom_site_fract_z
Be1 Be 0.0000 0.0000 0.0000
Co1 Co 0.0000 0.0000 0.3177
Co2 Co 0.5000 0.5000 0.1451
Co3 Co 0.5000 0.5000 0.5000
```

Main lines, sorted by position (2θ = 5–70°):
| hkl | two_theta | I (rel.) |
| --- | --- | --- |
| 0 0 1 | 9.21 | 12 |
| 0 0 2 | 18.47 | 6 |
| 1 0 1 | 36.83 | 7 |
| 1 0 2 | 40.38 | 19 |
| 1 0 3 | 45.78 | 100 |
| 0 0 5 | 47.31 | 8 |
| 1 1 0 | 51.19 | 39 |
| 0 0 6 | 57.57 | 9 |



# DyTm4Bi5
Calculated powder XRD pattern, λ = 1.5418 Å (Cu Kα). Input: a cell relaxed with PBE.
Neutral-atom scattering factors, no anomalous dispersion.

```
data_DyTm4Bi5
_symmetry_space_group_name_H-M 'I m m m'
_symmetry_Int_Tables_number 71
_symmetry_space_group_name_Hall '-I 2 2'
_cell_length_a 4.4393
_cell_length_b 6.2749
_cell_length_c 22.1907
_cell_angle_alpha 90.00
_cell_angle_beta 90.00
_cell_angle_gamma 90.00
loop_
_atom_site_label
_atom_site_type_symbol
_atom_site_fract_x
_atom_site_fract_y
_atom_site_fract_z
Dy1 Dy 0.0000 0.0000 0.0000
Tm1 Tm 0.0000 0.0000 0.2007
Tm2 Tm 0.0000 0.0000 0.4001
Bi1 Bi 0.0000 0.5000 0.0000
Bi2 Bi 0.0000 0.5000 0.1997
Bi3 Bi 0.0000 0.5000 0.3987
```

Main lines, sorted by position (2θ = 5–70°):
| hkl | two_theta | I (rel.) |
| --- | --- | --- |
| 1 1 0 | 24.57 | 2 |
| 1 0 5 | 28.44 | 100 |
| 2 0 0 | 40.66 | 78 |
| 1 3 0 | 48.08 | 1 |
| 2 2 0 | 50.36 | 28 |
| 2 0 10 | 58.85 | 13 |
| 3 1 0 | 64.74 | 1 |
| 3 0 5 | 66.64 | 37 |



# Cs2DyTeO6
Calculated powder XRD pattern, λ = 1.5418 Å (Cu Kα). Input: a cell relaxed with PBE.
Neutral-atom scattering factors, no anomalous dispersion.

```
data_Cs2DyTeO6
_symmetry_space_group_name_H-M 'P -3 m 1'
_symmetry_Int_Tables_number 164
_symmetry_space_group_name_Hall '-P 3 2"'
_cell_length_a 6.8747
_cell_length_b 6.8747
_cell_length_c 5.9003
_cell_angle_alpha 90.00
_cell_angle_beta 90.00
_cell_angle_gamma 120.00
loop_
_atom_site_label
_atom_site_type_symbol
_atom_site_fract_x
_atom_site_fract_y
_atom_site_fract_z
Cs1 Cs 0.3333 0.6667 0.1271
Dy1 Dy 0.0000 0.0000 0.5000
Te1 Te 0.0000 0.0000 0.0000
O1 O 0.1294 0.2588 0.7936
```

Main lines, sorted by position (2θ = 5–70°):
| hkl | two_theta | I (rel.) |
| --- | --- | --- |
| 1 0 0 | 14.88 | 55 |
| 1 0 1 | 21.20 | 40 |
| 1 1 0 | 25.92 | 100 |
| 0 2 1 | 33.72 | 26 |
| 0 1 2 | 33.91 | 39 |
| 2 0 2 | 43.17 | 31 |
| 3 0 0 | 45.72 | 20 |
| 1 2 2 | 51.05 | 31 |



# Pa4Ga5Pd2
Calculated powder XRD pattern, λ = 1.5418 Å (Cu Kα). Input: a cell relaxed with PBE.
Neutral-atom scattering factors, no anomalous dispersion.

```
data_Pa4Ga5Pd2
_symmetry_space_group_name_H-M 'P 1 2/m 1'
_symmetry_Int_Tables_number 10
_cell_length_a 7.2012
_cell_length_b 3.0986
_cell_length_c 9.8021
_cell_angle_alpha 90.00
_cell_angle_beta 93.07
_cell_angle_gamma 90.00
loop_
_symmetry_equiv_pos_as_xyz
'x,y,z'
'-x,-y,-z'
'-x,y,-z'
'x,-y,z'
loop_
_atom_site_label
_atom_site_type_symbol
_atom_site_fract_x
_atom_site_fract_y
_atom_site_fract_z
Pa1 Pa 0.1442 0.0000 0.3990
Pa2 Pa 0.2964 0.0000 0.9542
Ga1 Ga 0.2222 0.5000 0.6764
Ga2 Ga 0.4212 0.5000 0.2189
Ga3 Ga 0.5000 0.5000 0.5000
Pd1 Pd 0.0495 0.5000 0.1414
```

Main lines, sorted by position (2θ = 5–70°):
| hkl | two_theta | I (rel.) |
| --- | --- | --- |
| 1 1 1 | 32.97 | 18 |
| 0 1 2 | 34.25 | 21 |
| 1 1 -2 | 36.18 | 23 |
| 1 1 2 | 36.87 | 21 |
| 2 0 3 | 38.21 | 100 |
| 2 1 0 | 38.35 | 14 |
| 2 1 1 | 39.81 | 18 |
| 2 1 -2 | 42.11 | 15 |